No. 1
Simulated X-ray diffraction stick pattern of Sc11Ge10 for a wavelength of 1.5418 Å, from a crystal structure in the Materials Project, relaxed with PBE.

Lattice parameters (Å, degrees): 10.345 10.345 15.376 90.00 90.00 90.00
Space group I4/mmm (No. 139)
One atom of each set of equivalent atoms:
Sc (0.000, 0.000, 0.162) (multiplicity 4)
Sc (0.000, 0.252, 0.311) (multiplicity 16)
Sc (0.000, 0.327, 0.103) (multiplicity 16)
Sc (0.176, 0.176, 0.500) (multiplicity 8)
Ge (0.000, 0.000, 0.387) (multiplicity 4)
Ge (0.000, 0.359, 0.500) (multiplicity 8)
Ge (0.000, 0.500, 0.250) (multiplicity 4)
Ge (0.126, 0.126, 0.000) (multiplicity 8)
Ge (0.208, 0.208, 0.178) (multiplicity 16)

Largest 6 diffraction maxima, sorted by position, 10° ≤ 2θ ≤ 80°:
| d (Å) | I_rel | hkl |
| --- | --- | --- |
| 2.562 | 96 | 0 0 6 |
| 2.504 | 100 | 3 2 3 |
| 2.491 | 59 | 3 1 4 |
| 2.451 | 67 | 4 0 2 |
| 2.438 | 73 | 3 3 0 |
| 2.295 | 96 | 3 0 5 |

---

No. 2
Simulated X-ray diffraction stick pattern of Na2CaNb4Bi2O15 for a wavelength of 1.5418 Å, from a crystal structure in the Materials Project, relaxed with PBE.

Lattice parameters (Å, degrees): 41.588 5.545 5.572 90.00 90.00 90.00
Space group Cmc2_1 (No. 36)
One atom of each set of equivalent atoms:
Na (0.103, 0.236, 0.000) (multiplicity 8)
Ca (0.000, 0.246, 0.016) (multiplicity 4)
Nb (0.051, 0.244, 0.487) (multiplicity 8)
Nb (0.150, 0.258, 0.496) (multiplicity 8)
Bi (0.220, 0.276, 0.048) (multiplicity 8)
O (0.000, 0.192, 0.448) (multiplicity 4)
O (0.042, 0.449, 0.766) (multiplicity 8)
O (0.050, 0.066, 0.152) (multiplicity 8)
O (0.096, 0.262, 0.478) (multiplicity 8)
O (0.143, 0.464, 0.194) (multiplicity 8)
O (0.146, 0.028, 0.757) (multiplicity 8)
O (0.196, 0.295, 0.467) (multiplicity 8)
O (0.249, 0.008, 0.269) (multiplicity 8)

Largest 6 diffraction maxima, sorted by position, 10° ≤ 2θ ≤ 80°:
| d (Å) | I_rel | hkl |
| --- | --- | --- |
| 3.554 | 29 | 5 1 1 |
| 3.278 | 39 | 7 1 1 |
| 2.994 | 100 | 9 1 1 |
| 2.772 | 24 | 0 2 0 |
| 1.965 | 27 | 0 2 2 |
| 1.641 | 24 | 9 3 1 |

---

No. 3
Simulated X-ray diffraction stick pattern of SmPd3 for a wavelength of 1.5418 Å, from a crystal structure in the Materials Project, relaxed with PBE.

Lattice parameters (Å, degrees): 4.179 4.179 4.179 90.00 90.00 90.00
Space group Pm-3m (No. 221)
One atom of each set of equivalent atoms:
Sm (0.000, 0.000, 0.000) (multiplicity 1)
Pd (0.000, 0.500, 0.500) (multiplicity 3)

Largest 6 diffraction maxima, sorted by position, 10° ≤ 2θ ≤ 80°:
| d (Å) | I_rel | hkl |
| --- | --- | --- |
| 4.179 | 2 | 1 0 0 |
| 2.413 | 100 | 1 1 1 |
| 2.089 | 49 | 2 0 0 |
| 1.477 | 32 | 2 2 0 |
| 1.260 | 37 | 3 1 1 |
| 1.206 | 11 | 2 2 2 |

---

No. 4
Simulated X-ray diffraction stick pattern of AgBiO2 for a wavelength of 1.5418 Å, from a crystal structure in the Materials Project, relaxed with PBE.

Lattice parameters (Å, degrees): 3.6842 3.6842 19.3514 90.00 90.00 120.00
Space group R-3m (No. 166, hexagonal axes)
One atom of each set of equivalent atoms:
Ag (0.0000, 0.0000, 0.0000) (multiplicity 3)
Bi (0.0000, 0.0000, 0.5000) (multiplicity 3)
O (0.0000, 0.0000, 0.1080) (multiplicity 6)

Largest 6 diffraction maxima, sorted by position, 10° ≤ 2θ ≤ 80°:
| d (Å) | I_rel | hkl |
| --- | --- | --- |
| 3.225 | 33 | 0 0 6 |
| 3.030 | 100 | 0 1 2 |
| 2.663 | 55 | 1 0 4 |
| 1.928 | 30 | 0 1 8 |
| 1.842 | 27 | 1 1 0 |
| 1.600 | 26 | 1 1 6 |

---

No. 5
Simulated X-ray diffraction stick pattern of CsGa2Se4O14 for a wavelength of 1.5418 Å, from a crystal structure in the Materials Project, relaxed with PBE.

Lattice parameters (Å, degrees): 16.845 7.771 12.864 90.00 124.88 90.00
Space group C2/c (No. 15)
One atom of each set of equivalent atoms:
Cs (0.000, 0.243, 0.250) (multiplicity 4)
Ga (0.185, 0.449, 0.112) (multiplicity 8)
Se (0.034, 0.270, 0.602) (multiplicity 8)
Se (0.245, 0.051, 0.092) (multiplicity 8)
O (0.046, 0.054, 0.622) (multiplicity 8)
O (0.078, 0.284, 0.042) (multiplicity 8)
O (0.108, 0.332, 0.555) (multiplicity 8)
O (0.172, 0.484, 0.946) (multiplicity 8)
O (0.192, 0.431, 0.271) (multiplicity 8)
O (0.195, 0.080, 0.327) (multiplicity 8)
O (0.221, 0.244, 0.844) (multiplicity 8)

Largest 6 diffraction maxima, sorted by position, 10° ≤ 2θ ≤ 80°:
| d (Å) | I_rel | hkl |
| --- | --- | --- |
| 3.678 | 61 | 3 1 -3 |
| 3.556 | 28 | 1 1 -3 |
| 3.455 | 30 | 4 0 0 |
| 3.387 | 100 | 2 2 0 |
| 3.132 | 27 | 2 0 -4 |
| 2.816 | 22 | 1 1 3 |

---

No. 6
Simulated X-ray diffraction stick pattern of Bi4O9 for a wavelength of 1.5418 Å, from a crystal structure in the Materials Project, relaxed with PBE.

Lattice parameters (Å, degrees): 10.446 10.446 4.138 90.00 90.00 90.00
Space group P4/n (No. 85, origin choice 2)
One atom of each set of equivalent atoms:
Bi (0.033, 0.662, 0.047) (multiplicity 8)
O (0.016, 0.697, 0.544) (multiplicity 8)
O (0.025, 0.130, 0.975) (multiplicity 8)
O (0.250, 0.750, 0.000) (multiplicity 2)

Largest 6 diffraction maxima, sorted by position, 10° ≤ 2θ ≤ 80°:
| d (Å) | I_rel | hkl |
| --- | --- | --- |
| 4.138 | 79 | 0 0 1 |
| 3.693 | 26 | 2 2 0 |
| 3.303 | 100 | 1 3 0 |
| 2.582 | 73 | 1 3 1 |
| 2.336 | 41 | 4 2 0 |
| 2.034 | 43 | 4 2 1 |